La2Nb2N2O5: calculated XRD peak list (Cu Ka), based on the GGA-PBE geometry in Alexandria.

Peak list (10 most intense, 2θ = 10–90°, low angle first)
d [Å], 2theta, intensity, (hkl)
3.466, 25.7, 466, 8 0 0
3.279, 27.2, 452, 1 1 1
3.120, 28.6, 978, 3 1 -1
3.100, 28.8, 1000, 3 1 1
3.012, 29.7, 360, 8 0 -1
2.945, 30.4, 948, 0 0 2
2.851, 31.4, 477, 5 1 -1
2.825, 31.7, 401, 5 1 1
2.811, 31.8, 379, 7 1 0
1.994, 45.5, 639, 0 2 0

Structural model:
abc: 27.735 3.989 5.891
angles: 90.00 91.07 90.00
Space group Cm (No. 8)
Symmetry-distinct sites (fractional):
La 0.000 0.000 0.000 x2
La 0.067 0.500 0.486 x2
La 0.227 0.500 0.995 x2
La 0.339 0.500 0.495 x2
Nb 0.127 0.000 0.996 x2
Nb 0.224 0.000 0.510 x2
Nb 0.337 0.000 0.007 x2
Nb 0.444 0.000 0.487 x2
N 0.175 0.000 0.769 x2
N 0.186 0.000 0.248 x2
N 0.373 0.000 0.748 x2
N 0.491 0.000 0.261 x2
O 0.069 0.000 0.257 x2
O 0.070 0.000 0.773 x2
O 0.128 0.500 0.051 x2
O 0.238 0.500 0.570 x2
O 0.270 0.000 0.878 x2
O 0.290 0.000 0.380 x2
O 0.324 0.500 0.066 x2
O 0.384 0.000 0.274 x2
O 0.431 0.500 0.523 x2
O 0.493 0.000 0.740 x2

Sm4Hg3Rh: calculated XRD peak list (Cu Ka), based on the GGA-PBE geometry in Alexandria.

Peak list (10 most intense, 2θ = 10–90°, low angle first)
d [Å], 2theta, intensity, (hkl)
2.646, 33.9, 1000, 1 0 4
2.601, 34.5, 504, 1 1 0
1.904, 47.8, 81, 0 0 8
1.839, 49.6, 182, 2 0 0
1.536, 60.2, 164, 1 1 8
1.510, 61.4, 364, 2 1 4
1.323, 71.3, 100, 2 0 8
1.301, 72.7, 59, 2 2 0
1.167, 82.7, 80, 3 0 4
1.163, 83.0, 84, 3 1 0

Structural model:
abc: 3.679 3.679 15.233
angles: 90.00 90.00 90.00
Space group P4/mmm (No. 123)
Symmetry-distinct sites (fractional):
Sm 0.000 0.000 0.108 x2
Sm 0.000 0.000 0.371 x2
Hg 0.500 0.500 0.243 x2
Hg 0.500 0.500 0.500 x1
Rh 0.500 0.500 0.000 x1

Ta4OsRu3: calculated XRD peak list (Cu Ka), based on the GGA-PBE geometry in Alexandria.

Peak list (10 most intense, 2θ = 10–90°, low angle first)
d [Å], 2theta, intensity, (hkl)
8.626, 10.3, 26, 0 0 1
3.463, 25.7, 24, 1 0 0
3.050, 29.3, 35, 0 1 2
2.289, 39.4, 1000, 1 1 2
2.157, 41.9, 420, 0 2 0
1.731, 52.9, 107, 2 0 0
1.525, 60.7, 141, 0 2 4
1.350, 69.6, 187, 2 2 0
1.269, 74.8, 305, 1 3 2
1.144, 84.7, 112, 2 2 4

Structural model:
abc: 3.463 4.315 8.626
angles: 90.00 90.00 90.00
Space group Pmmm (No. 47)
Symmetry-distinct sites (fractional):
Ta 0.000 0.000 0.000 x1
Ta 0.000 0.000 0.500 x1
Ta 0.000 0.500 0.249 x2
Os 0.500 0.500 0.000 x1
Ru 0.500 0.000 0.252 x2
Ru 0.500 0.500 0.500 x1

Sm4Dy2Se9: calculated XRD peak list (Cu Ka), based on the GGA-PBE geometry in Alexandria.

Peak list (10 most intense, 2θ = 10–90°, low angle first)
d [Å], 2theta, intensity, (hkl)
5.330, 16.6, 423, 1 1 2
3.886, 22.9, 588, 1 1 -4
3.662, 24.3, 395, 2 1 0
3.197, 27.9, 622, 2 1 3
2.665, 33.6, 401, 0 2 -4
2.442, 36.8, 1000, 1 2 6
2.155, 41.9, 365, 2 -1 4
2.114, 42.8, 652, 3 3 0
1.878, 48.5, 320, 1 0 10
1.598, 57.7, 257, 2 4 6

Structural model:
abc: 7.320 7.323 19.668
angles: 89.99 89.96 60.06
Space group P-1 (No. 2)
Symmetry-distinct sites (fractional):
Sm 0.166 0.167 0.182 x2
Sm 0.166 0.167 0.983 x2
Sm 0.167 0.166 0.482 x2
Sm 0.168 0.166 0.683 x2
Dy 0.499 0.502 0.153 x2
Dy 0.500 0.499 0.348 x2
Se 0.141 0.535 0.417 x2
Se 0.144 0.823 0.917 x2
Se 0.175 0.468 0.083 x2
Se 0.176 0.858 0.583 x2
Se 0.202 0.500 0.750 x2
Se 0.202 0.799 0.250 x2
Se 0.466 0.178 0.583 x2
Se 0.466 0.858 0.083 x2
Se 0.499 0.202 0.250 x2

In9Sn4Pb2: calculated XRD peak list (Cu Ka), based on the GGA-PBE geometry in Alexandria.

Peak list (10 most intense, 2θ = 10–90°, low angle first)
d [Å], 2theta, intensity, (hkl)
2.782, 32.2, 1000, 0 1 5
2.640, 34.0, 885, 1 1 0
1.915, 47.5, 337, 2 0 5
1.637, 56.2, 199, 1 0 10
1.550, 59.7, 340, 1 2 5
1.524, 60.8, 164, 3 0 0
1.391, 67.3, 118, 0 2 10
1.320, 71.5, 102, 2 2 0
1.231, 77.6, 158, 2 1 10
1.192, 80.6, 146, 3 1 5

Structural model:
abc: 5.2795 5.2795 17.5281
angles: 90.00 90.00 120.00
Space group P-3m1 (No. 164)
Symmetry-distinct sites (fractional):
In 0.0000 0.0000 0.0000 x1
In 0.0000 0.0000 0.1935 x2
In 0.0000 0.0000 0.4027 x2
In 0.3333 0.6667 0.0671 x2
In 0.3333 0.6667 0.4746 x2
Sn 0.3333 0.6667 0.6685 x2
Sn 0.3333 0.6667 0.8717 x2
Pb 0.3333 0.6667 0.2715 x2